No. 1
This entry pairs a crystal structure of AlCdGaTe2S2 with its computed X-ray diffraction stick pattern. Radiation: λ = 1.5418 Å (Cu Kα). Structure: a PBE-relaxed structure.
Intensities are scaled so that the largest is 100.

Cell and atoms:
```
data_AlCdGaTe2S2
_space_group_name_H-M_alt 'C 1 2 1'
_space_group_IT_number 5
_space_group_name_Hall 'C 2y'
_cell_length_a 8.2054
_cell_length_b 11.0205
_cell_length_c 5.8818
_cell_angle_alpha 90.00
_cell_angle_beta 132.66
_cell_angle_gamma 90.00
loop_
_atom_site_label
_atom_site_type_symbol
_atom_site_fract_x
_atom_site_fract_y
_atom_site_fract_z
_atom_site_occupancy
Al1 Al 0.0000 0.0000 0.0000 1
Cd1 Cd 0.0000 0.4931 0.0000 1
Ga1 Ga 0.0000 0.2240 0.5000 1
Te1 Te 0.2108 0.8465 0.4681 1
S1 S 0.2124 0.1187 0.9682 1
```

Principal peaks in the range 15° ≤ 2θ ≤ 90°, in order of rising 2θ:
h k l, Position (°2θ), I (rel.)
1 1 -1, 17.1, 24
2 0 -1, 21.7, 28
0 2 1, 26.2, 100
2 2 -1, 27.1, 68
2 4 0, 44.5, 33
2 4 -2, 45.1, 39

No. 2
This entry pairs a crystal structure of CsPm2CuSe3S with its computed X-ray diffraction stick pattern. Radiation: λ = 1.5418 Å (Cu Kα). Structure: a PBE-relaxed structure.
Intensities are scaled so that the largest is 100.

Cell and atoms:
```
data_CsPm2CuSe3S
_space_group_name_H-M_alt 'C m c m'
_space_group_IT_number 63
_space_group_name_Hall '-C 2c 2'
_cell_length_a 4.2043
_cell_length_b 14.7997
_cell_length_c 14.5125
_cell_angle_alpha 90.00
_cell_angle_beta 90.00
_cell_angle_gamma 90.00
loop_
_atom_site_label
_atom_site_type_symbol
_atom_site_fract_x
_atom_site_fract_y
_atom_site_fract_z
_atom_site_occupancy
Cs1 Cs 0.0000 0.0992 0.2500 1
Pm1 Pm 0.0000 0.3657 0.0657 1
Cu1 Cu 0.0000 0.1617 0.7500 1
Se1 Se 0.0000 0.0000 0.0000 1
Se2 Se 0.0000 0.2610 0.6110 1
S1 S 0.0000 0.4167 0.2500 1
```

Principal peaks in the range 15° ≤ 2θ ≤ 90°, in order of rising 2θ:
h k l, Position (°2θ), I (rel.)
0 2 3, 22.0, 74
1 3 1, 28.6, 96
1 3 2, 30.5, 100
0 2 5, 33.2, 47
1 5 3, 41.7, 70
2 0 0, 43.0, 44

No. 3
This entry pairs a crystal structure of LaY2Zn4Si4 with its computed X-ray diffraction stick pattern. Radiation: λ = 1.5418 Å (Cu Kα). Structure: a PBE-relaxed structure.
Intensities are scaled so that the largest is 100.

Cell and atoms:
```
data_LaY2Zn4Si4
_space_group_name_H-M_alt 'I m m m'
_space_group_IT_number 71
_space_group_name_Hall '-I 2 2'
_cell_length_a 4.1135
_cell_length_b 4.1372
_cell_length_c 24.7264
_cell_angle_alpha 90.00
_cell_angle_beta 90.00
_cell_angle_gamma 90.00
loop_
_atom_site_label
_atom_site_type_symbol
_atom_site_fract_x
_atom_site_fract_y
_atom_site_fract_z
_atom_site_occupancy
La1 La 0.0000 0.0000 0.0000 1
Y1 Y 0.0000 0.5000 0.1446 1
Zn1 Zn 0.0000 0.0000 0.2502 1
Zn2 Zn 0.0000 0.5000 0.4041 1
Si1 Si 0.0000 0.0000 0.4515 1
Si2 Si 0.0000 0.5000 0.3093 1
```

Principal peaks in the range 15° ≤ 2θ ≤ 90°, in order of rising 2θ:
h k l, Position (°2θ), I (rel.)
1 0 7, 33.4, 35
1 1 4, 34.0, 100
0 2 0, 43.8, 20
2 0 0, 44.0, 23
0 1 11, 46.0, 20
1 2 7, 56.2, 14